# 1
Theoretical X-ray diffraction stick pattern
Compound: Zn5Au4
Radiation: CuKα
Structure: a crystal structure in Alexandria, relaxed with GGA-PBE
Lines closer than 0.1° are merged.

Structure:
```
9
Lattice="5.032 -4.283 0.000 5.032 4.283 0.000 -1.234 0.000 3.410" Properties=species:S:1:pos:R:3 pbc="T T T"
Zn 0.000 0.000 0.000
Zn 2.819 0.000 1.071
Zn 5.032 1.286 0.000
Zn 5.032 -1.286 0.000
Zn 6.011 0.000 2.339
Au 3.063 2.785 1.180
Au 5.767 2.785 2.230
Au 3.063 -2.785 1.180
Au 5.767 -2.785 2.230
```

Main lines, in order of falling intensity (2θ from 10° to 90°):
d 2.243, I 100; d 2.117, I 80; d 2.405, I 60; d 2.355, I 56; d 1.813, I 27; d 1.387, I 20; d 1.367, I 20; d 4.283, I 17


# 2
Theoretical X-ray diffraction stick pattern
Compound: HoTm3Pd2
Radiation: CuKα
Structure: a crystal structure in Alexandria, relaxed with GGA-PBE
Lines closer than 0.1° are merged.

Structure:
```
12
Lattice="4.834 0.000 0.000 0.000 8.653 0.000 0.000 0.000 7.020" Properties=species:S:1:pos:R:3 pbc="T T T"
Ho 0.000 0.677 0.000
Ho 0.000 7.976 3.510
Tm 0.000 2.854 4.409
Tm 0.000 5.799 0.899
Tm 2.417 1.483 2.379
Tm 2.417 3.655 6.787
Tm 2.417 4.998 3.277
Tm 2.417 7.170 5.889
Pd 0.000 2.997 1.580
Pd 0.000 5.656 5.090
Pd 2.417 1.347 5.207
Pd 2.417 7.306 1.697
```

Main lines, in order of falling intensity (2θ from 10° to 90°):
d 2.930, I 100; d 2.699, I 84; d 2.417, I 61; d 2.477, I 56; d 2.840, I 42; d 2.668, I 24; d 1.509, I 22; d 2.726, I 20


# 3
Theoretical X-ray diffraction stick pattern
Compound: Tm4B6Ir7
Radiation: CuKα
Structure: a crystal structure in Alexandria, relaxed with GGA-PBE
Lines closer than 0.1° are merged.

Structure:
```
17
Lattice="-3.940 3.940 3.940 3.940 -3.940 3.940 3.940 3.940 -3.940" Properties=species:S:1:pos:R:3 pbc="T T T"
Tm 1.970 1.970 -1.970
Tm 1.970 -1.970 1.970
Tm -1.970 1.970 1.970
Tm 1.970 1.970 1.970
B 2.778 0.000 0.000
B 5.102 0.000 0.000
B 0.000 2.778 0.000
B 0.000 0.000 2.778
B 0.000 5.102 0.000
B 0.000 0.000 5.102
Ir 0.000 0.000 0.000
Ir 3.940 1.970 0.000
Ir 3.940 0.000 1.970
Ir 1.970 3.940 0.000
Ir 1.970 0.000 3.940
Ir 0.000 3.940 1.970
Ir 0.000 1.970 3.940
```

Main lines, in order of falling intensity (2θ from 10° to 90°):
d 2.275, I 100; d 3.217, I 84; d 1.970, I 75; d 2.106, I 58; d 1.393, I 48; d 1.188, I 38; d 2.786, I 24; d 5.572, I 20


# 4
Theoretical X-ray diffraction stick pattern
Compound: GaSnAu6
Radiation: CuKα
Structure: a crystal structure in Alexandria, relaxed with GGA-PBE
Lines closer than 0.1° are merged.

Structure:
```
8
Lattice="5.111 0.000 0.000 -2.438 5.390 0.000 -0.891 -1.257 5.780" Properties=species:S:1:pos:R:3 pbc="T T T"
Ga 0.000 0.000 0.000
Sn 2.110 -0.628 2.890
Au -0.447 0.548 3.686
Au -0.380 2.275 1.361
Au -0.426 2.942 5.140
Au 2.208 1.191 0.640
Au 2.163 1.859 4.420
Au 2.230 3.586 2.094
```

Main lines, in order of falling intensity (2θ from 10° to 90°):
d 2.797, I 100; d 2.501, I 74; d 2.527, I 61; d 2.342, I 52; d 1.995, I 35; d 2.018, I 34; d 1.933, I 34; d 1.803, I 28